(1)
Structure and simulated X-ray powder pattern of TbDyNiRu (a crystal structure in Alexandria, relaxed with PBE; Cu Kα).

Largest 6 diffraction maxima, sorted by position, 15° ≤ 2θ ≤ 90°:
2θ/deg	d/Å	I/Imax
26.21	3.400	12
37.41	2.404	100
54.00	1.698	11
67.40	1.389	12
67.52	1.387	23
79.74	1.203	7

a b c (Å): 3.407 4.801 4.805
angles (deg): 90.00 90.00 90.00
Space group Pmmm (No. 47)
Asymmetric unit:
Tb1 0.000 0.000 0.000 (multiplicity 1)
Dy1 0.000 0.500 0.500 (multiplicity 1)
Ni1 0.500 0.500 0.000 (multiplicity 1)
Ru1 0.500 0.000 0.500 (multiplicity 1)

---

(2)
Structure and simulated X-ray powder pattern of CrAgSnSe2S2 (a crystal structure in Alexandria, relaxed with PBE; Cu Kα).

Largest 6 diffraction maxima, sorted by position, 15° ≤ 2θ ≤ 90°:
2θ/deg	d/Å	I/Imax
23.24	3.828	40
27.05	3.297	80
27.41	3.253	49
27.58	3.234	38
33.10	2.707	72
47.51	1.914	100

a b c (Å): 7.525 7.796 10.824
angles (deg): 90.00 90.00 90.00
Space group Imm2 (No. 44)
Asymmetric unit:
Cr1 0.240 0.000 0.000 (multiplicity 4)
Ag1 0.000 0.000 0.396 (multiplicity 2)
Ag2 0.000 0.500 0.116 (multiplicity 2)
Sn1 0.000 0.243 0.758 (multiplicity 4)
Se1 0.000 0.287 0.508 (multiplicity 4)
Se2 0.246 0.500 0.735 (multiplicity 4)
S1 0.000 0.212 0.998 (multiplicity 4)
S2 0.239 0.000 0.775 (multiplicity 4)

---

(3)
Structure and simulated X-ray powder pattern of Pr2Er4Ge3O2 (a crystal structure in Alexandria, relaxed with PBE; Cu Kα).

Largest 6 diffraction maxima, sorted by position, 15° ≤ 2θ ≤ 90°:
2θ/deg	d/Å	I/Imax
28.78	3.102	65
29.62	3.016	23
35.80	2.509	100
39.71	2.270	60
50.32	1.813	21
69.54	1.352	29

a b c (Å): 4.539 4.539 24.126
angles (deg): 90.00 90.00 90.00
Space group I4/mmm (No. 139)
Asymmetric unit:
Pr1 0.000 0.000 0.198 (multiplicity 4)
Er1 0.000 0.500 0.079 (multiplicity 8)
Ge1 0.000 0.000 0.331 (multiplicity 4)
Ge2 0.000 0.000 0.500 (multiplicity 2)
O1 0.000 0.000 0.089 (multiplicity 4)

---

(4)
Structure and simulated X-ray powder pattern of DyHo4Bi5 (a crystal structure in Alexandria, relaxed with PBE; Cu Kα).

Largest 6 diffraction maxima, sorted by position, 15° ≤ 2θ ≤ 90°:
2θ/deg	d/Å	I/Imax
28.30	3.153	100
40.45	2.230	78
50.11	1.821	28
58.54	1.577	13
66.28	1.410	37
73.57	1.287	28

a b c (Å): 4.461 6.305 22.298
angles (deg): 90.00 90.00 90.00
Space group Immm (No. 71)
Asymmetric unit:
Dy1 0.000 0.000 0.000 (multiplicity 2)
Ho1 0.000 0.000 0.200 (multiplicity 4)
Ho2 0.000 0.000 0.400 (multiplicity 4)
Bi1 0.000 0.500 0.000 (multiplicity 2)
Bi2 0.000 0.500 0.200 (multiplicity 4)
Bi3 0.000 0.500 0.400 (multiplicity 4)